Calculated X-ray powder pattern of Mn5Sb3O16 for copper Kα, from a GGA+U-relaxed structure.

Most intense lines, 10° ≤ 2θ ≤ 80°, in order of rising 2θ:
two_theta  I_rel
19.4  42
19.5  100
35.4  22
35.6  41
45.9  27
60.5  20

Atomic structure:
```
data_Mn5Sb3O16
_symmetry_space_group_name_H-M 'C 1 m 1'
_symmetry_Int_Tables_number 8
_symmetry_space_group_name_Hall 'C -2y'
_cell_length_a 10.657
_cell_length_b 6.049
_cell_length_c 9.107
_cell_angle_alpha 90.00
_cell_angle_beta 91.24
_cell_angle_gamma 90.00
loop_
_atom_site_label
_atom_site_type_symbol
_atom_site_fract_x
_atom_site_fract_y
_atom_site_fract_z
_atom_site_occupancy
Mn1 Mn 0.000 0.000 0.000 1
Mn2 Mn 0.011 0.500 0.227 1
Mn3 Mn 0.170 0.500 0.510 1
Mn4 Mn 0.425 0.249 0.724 1
Sb1 Sb 0.173 0.000 0.726 1
Sb2 Sb 0.262 0.253 0.225 1
O1 O 0.002 0.500 0.623 1
O2 O 0.005 0.000 0.614 1
O3 O 0.077 0.216 0.855 1
O4 O 0.108 0.287 0.352 1
O5 O 0.173 0.000 0.113 1
O6 O 0.187 0.500 0.102 1
O7 O 0.255 0.253 0.620 1
O8 O 0.327 0.500 0.355 1
O9 O 0.334 0.000 0.340 1
O10 O 0.344 0.000 0.828 1
O11 O 0.368 0.500 0.850 1
O12 O 0.424 0.246 0.119 1
```



Calculated X-ray powder pattern of Mn3SbO8 for copper Kα, from a GGA+U-relaxed structure.

Most intense lines, 10° ≤ 2θ ≤ 80°, in order of rising 2θ:
two_theta  I_rel
19.8  100
25.9  32
33.8  33
36.0  44
36.4  29
46.0  25

Atomic structure:
```
data_Mn3SbO8
_symmetry_space_group_name_H-M 'P 63 m c'
_symmetry_Int_Tables_number 186
_symmetry_space_group_name_Hall 'P 6c -2c'
_cell_length_a 5.9103
_cell_length_b 5.9103
_cell_length_c 9.3009
_cell_angle_alpha 90.00
_cell_angle_beta 90.00
_cell_angle_gamma 120.00
loop_
_atom_site_label
_atom_site_type_symbol
_atom_site_fract_x
_atom_site_fract_y
_atom_site_fract_z
_atom_site_occupancy
Mn1 Mn 0.1675 0.3350 0.0000 1
Sb1 Sb 0.3333 0.6667 0.2780 1
O1 O 0.0000 0.0000 0.0948 1
O2 O 0.0375 0.5188 0.1284 1
O3 O 0.1663 0.3327 0.3884 1
O4 O 0.3333 0.6667 0.9008 1
```



Calculated X-ray powder pattern of MnSb2O4 for copper Kα, from a GGA+U-relaxed structure.

Most intense lines, 10° ≤ 2θ ≤ 80°, in order of rising 2θ:
two_theta  I_rel
20.0  19
26.7  100
31.9  19
35.4  25
44.6  38
52.9  24

Atomic structure:
```
data_MnSb2O4
_symmetry_space_group_name_H-M 'P 42/m b c'
_symmetry_Int_Tables_number 135
_symmetry_space_group_name_Hall '-P 4c 2ab'
_cell_length_a 8.863
_cell_length_b 8.863
_cell_length_c 6.175
_cell_angle_alpha 90.00
_cell_angle_beta 90.00
_cell_angle_gamma 90.00
loop_
_atom_site_label
_atom_site_type_symbol
_atom_site_fract_x
_atom_site_fract_y
_atom_site_fract_z
_atom_site_occupancy
Mn1 Mn 0.000 0.500 0.250 1
Sb1 Sb 0.169 0.181 0.000 1
O1 O 0.100 0.359 0.500 1
O2 O 0.181 0.681 0.250 1
```



Calculated X-ray powder pattern of Mn5SbO12 for copper Kα, from a GGA+U-relaxed structure.

Most intense lines, 10° ≤ 2θ ≤ 80°, in order of rising 2θ:
two_theta  I_rel
18.2  100
35.6  33
39.4  8
44.5  15
44.7  16
59.4  8

Atomic structure:
```
data_Mn5SbO12
_symmetry_space_group_name_H-M 'C 1 2/m 1'
_symmetry_Int_Tables_number 12
_symmetry_space_group_name_Hall '-C 2y'
_cell_length_a 5.165
_cell_length_b 9.074
_cell_length_c 9.724
_cell_angle_alpha 90.00
_cell_angle_beta 90.39
_cell_angle_gamma 90.00
loop_
_atom_site_label
_atom_site_type_symbol
_atom_site_fract_x
_atom_site_fract_y
_atom_site_fract_z
_atom_site_occupancy
Mn1 Mn 0.000 0.000 0.000 1
Mn2 Mn 0.000 0.166 0.500 1
Mn3 Mn 0.000 0.333 0.000 1
Sb1 Sb 0.000 0.500 0.500 1
O1 O 0.164 0.000 0.396 1
O2 O 0.167 0.500 0.095 1
O3 O 0.168 0.167 0.095 1
O4 O 0.173 0.334 0.398 1
```